Structure and calculated powder diffractogram of TmTl2FeO6 (a structure optimized by DFT (GGA+U); a wavelength of 1.5418 Å).
Intensities are scaled so that the largest is 100.

Most intense lines, 15 to 90 degrees two-theta, in order of rising 2θ:
two_theta  I (rel.)
19.41  11
22.17  23
30.94  100
32.16  91
45.23  42
50.09  16
54.24  16
56.57  39
57.34  25
67.29  15
73.89  13
75.88  15

Structural model:
Cell lengths 5.7895, 5.7895, 5.7895 Å; angles 57.47, 57.47, 57.47 degrees
Sites, in units of the cell vectors:
Tm (0.0000, 0.0000, 0.0000)
Tl (0.2668, 0.2668, 0.2668)
Tl (0.7773, 0.7773, 0.7773)
Fe (0.4925, 0.4925, 0.4925)
O (0.1463, 0.7053, 0.3754)
O (0.2409, 0.6168, 0.8401)
O (0.3754, 0.1463, 0.7053)
O (0.6168, 0.8401, 0.2409)
O (0.7053, 0.3754, 0.1463)
O (0.8401, 0.2409, 0.6168)